Entry 1:
The following is a computed powder X-ray diffraction pattern of Ta5Ge3B. It was derived from a PBE-relaxed structure, using Cu Kα (weighted mean of Kα1 and Kα2).

Atomic structure:
Lattice parameters (Å, degrees): 7.744 7.744 5.371 90.00 90.00 120.00
Fractional positions:
Ta1 0.000 0.244 0.250
Ta2 0.000 0.756 0.750
Ta3 0.244 0.000 0.250
Ta4 0.244 0.244 0.750
Ta5 0.333 0.667 0.000
Ta6 0.333 0.667 0.500
Ta7 0.667 0.333 0.000
Ta8 0.667 0.333 0.500
Ta9 0.756 0.000 0.750
Ta10 0.756 0.756 0.250
Ge1 0.000 0.400 0.750
Ge2 0.000 0.600 0.250
Ge3 0.400 0.000 0.750
Ge4 0.400 0.400 0.250
Ge5 0.600 0.000 0.250
Ge6 0.600 0.600 0.750
B1 0.000 0.000 0.000
B2 0.000 0.000 0.500

Largest 12 diffraction maxima, by angle, 5° ≤ 2θ ≤ 70°:
2θ (°)  I/Imax
26.58  15.8
28.42  17.6
33.36  9.3
35.41  42.9
36.02  28.8
39.30  100.0
40.34  40.9
40.89  80.1
58.80  22.0
62.82  13.3
63.60  40.6
65.64  22.1


Entry 2:
The following is a computed powder X-ray diffraction pattern of Na3LaSiSnP2O12. It was derived from a PBE-relaxed structure, using Cu Kα (weighted mean of Kα1 and Kα2).

Atomic structure:
Lattice parameters (Å, degrees): 9.340 9.340 9.445 120.02 120.02 60.57
Fractional positions:
Na1 0.073 0.927 0.500
Na2 0.223 0.426 0.692
Na3 0.351 0.790 0.932
Na4 0.426 0.223 0.192
Na5 0.790 0.351 0.432
Na6 0.927 0.073 0.000
La1 0.180 0.669 0.080
La2 0.669 0.180 0.580
Si1 0.344 0.589 0.491
Si2 0.589 0.344 0.991
Sn1 0.475 0.956 0.794
Sn2 0.956 0.475 0.294
P1 0.097 0.245 0.895
P2 0.245 0.097 0.395
P3 0.764 0.847 0.160
P4 0.847 0.764 0.660
O1 0.021 0.738 0.813
O2 0.044 0.290 0.051
O3 0.078 0.267 0.404
O4 0.143 0.393 0.918
O5 0.181 0.539 0.471
O6 0.194 0.962 0.213
O7 0.267 0.078 0.904
O8 0.270 0.662 0.338
O9 0.290 0.044 0.551
O10 0.365 0.760 0.674
O11 0.393 0.143 0.418
O12 0.422 0.522 0.983
O13 0.522 0.422 0.483
O14 0.539 0.181 0.971
O15 0.587 0.856 0.002
O16 0.662 0.270 0.838
O17 0.691 0.806 0.711
O18 0.738 0.021 0.313
O19 0.760 0.365 0.174
O20 0.806 0.691 0.211
O21 0.826 0.905 0.609
O22 0.856 0.587 0.502
O23 0.905 0.826 0.109
O24 0.962 0.194 0.713

Largest 12 diffraction maxima, by angle, 5° ≤ 2θ ≤ 70°:
2θ (°)  I/Imax
18.82  73.0
18.90  87.5
19.01  100.0
22.12  29.5
26.73  50.0
29.93  39.2
30.11  43.8
30.38  41.6
32.99  80.2
33.09  30.4
42.87  33.2
45.21  25.9


Entry 3:
The following is a computed powder X-ray diffraction pattern of ScPdO3. It was derived from a PBE-relaxed structure, using Cu Kα (weighted mean of Kα1 and Kα2).

Atomic structure:
Lattice parameters (Å, degrees): 4.079 4.079 4.079 90.00 90.00 90.00
Fractional positions:
Sc1 0.000 0.000 0.000
Pd1 0.500 0.500 0.500
O1 0.000 0.000 0.500
O2 0.000 0.500 0.000
O3 0.500 0.000 0.000

Largest 8 diffraction maxima, by angle, 5° ≤ 2θ ≤ 70°:
2θ (°)  I/Imax
21.79  12.9
31.01  100.0
38.22  25.7
44.42  38.6
50.00  7.1
55.16  38.4
64.63  22.4
69.09  3.8


Entry 4:
The following is a computed powder X-ray diffraction pattern of Sn3Pb. It was derived from a PBE-relaxed structure, using Cu Kα (weighted mean of Kα1 and Kα2).

Atomic structure:
Lattice parameters (Å, degrees): 3.132 3.234 11.622 90.00 90.00 90.00
Fractional positions:
Sn1 0.000 0.000 0.000
Sn2 0.000 0.500 0.244
Sn3 0.000 0.500 0.756
Pb1 0.000 0.000 0.500

Largest 12 diffraction maxima, by angle, 5° ≤ 2θ ≤ 70°:
2θ (°)  I/Imax
7.61  18.7
28.50  65.4
30.77  53.4
31.66  100.0
42.44  45.4
43.11  87.5
55.28  21.7
56.94  11.9
63.36  29.2
64.89  13.5
66.13  12.7
68.50  23.1


Entry 5:
The following is a computed powder X-ray diffraction pattern of TaTeBr9. It was derived from a PBE-relaxed structure, using Cu Kα (weighted mean of Kα1 and Kα2).

Atomic structure:
Lattice parameters (Å, degrees): 7.316 12.509 10.477 90.00 103.69 90.00
Fractional positions:
Ta1 0.146 0.250 0.146
Ta2 0.854 0.750 0.854
Te1 0.258 0.250 0.531
Te2 0.742 0.750 0.469
Br1 0.010 0.750 0.351
Br2 0.053 0.109 0.308
Br3 0.053 0.391 0.308
Br4 0.180 0.750 0.985
Br5 0.255 0.104 0.026
Br6 0.255 0.396 0.026
Br7 0.446 0.098 0.662
Br8 0.446 0.402 0.662
Br9 0.475 0.250 0.318
Br10 0.525 0.750 0.682
Br11 0.554 0.598 0.338
Br12 0.554 0.902 0.338
Br13 0.745 0.604 0.974
Br14 0.745 0.896 0.974
Br15 0.820 0.250 0.015
Br16 0.947 0.609 0.692
Br17 0.947 0.891 0.692
Br18 0.990 0.250 0.649

Largest 12 diffraction maxima, by angle, 5° ≤ 2θ ≤ 70°:
2θ (°)  I/Imax
11.21  34.9
13.40  25.1
14.16  67.5
14.33  100.0
18.85  54.6
26.99  25.4
27.27  50.1
28.49  29.5
28.62  47.5
34.07  49.7
38.62  22.1
42.96  36.2


Entry 6:
The following is a computed powder X-ray diffraction pattern of LaAsPd. It was derived from a PBE-relaxed structure, using Cu Kα (weighted mean of Kα1 and Kα2).

Atomic structure:
Lattice parameters (Å, degrees): 4.433 4.433 7.994 90.00 90.00 120.00
Fractional positions:
La1 0.000 0.000 0.000
La2 0.000 0.000 0.500
As1 0.333 0.667 0.250
As2 0.667 0.333 0.750
Pd1 0.333 0.667 0.750
Pd2 0.667 0.333 0.250

Largest 12 diffraction maxima, by angle, 5° ≤ 2θ ≤ 70°:
2θ (°)  I/Imax
22.24  2.1
23.17  4.1
25.74  2.5
32.33  100.0
40.70  52.2
41.24  0.7
45.38  12.7
46.87  1.6
51.55  1.0
52.91  24.5
62.58  28.9
68.83  22.0